Starting from the PBE geometry in the Materials Project, the powder diffraction line list of Nb2RuW was computed for Cu Kα.

Peak list (11 most intense, 2θ from 15° to 90°, low angle first)
2θ/deg, intensity, index
23.96, 6, 1 1 1
27.74, 5, 2 0 0
39.63, 100, 2 2 0
46.84, 3, 3 1 1
49.06, 1, 2 2 2
57.29, 17, 4 0 0
62.99, 2, 3 3 1
64.82, 2, 4 2 0
71.91, 34, 4 2 2
77.04, 1, 5 1 1
85.37, 11, 4 4 0

Cell and atoms:
Cell: 6.432 6.432 6.432 Å, 90.00 90.00 90.00°
Positions (direct):
Nb (0.250, 0.250, 0.250)
Nb (0.250, 0.250, 0.750)
Nb (0.250, 0.750, 0.250)
Nb (0.250, 0.750, 0.750)
Nb (0.750, 0.250, 0.250)
Nb (0.750, 0.250, 0.750)
Nb (0.750, 0.750, 0.250)
Nb (0.750, 0.750, 0.750)
Ru (0.000, 0.000, 0.000)
Ru (0.000, 0.500, 0.500)
Ru (0.500, 0.000, 0.500)
Ru (0.500, 0.500, 0.000)
W (0.000, 0.000, 0.500)
W (0.000, 0.500, 0.000)
W (0.500, 0.000, 0.000)
W (0.500, 0.500, 0.500)